Entry 1:
Structure and calculated PXRD pattern of Pm12PrHo6 (a structure optimized by DFT (PBE); Cu Ka).

Principal peaks in the range 10 to 90 degrees two-theta, low angle first:
d 2.934, 30.47°, I = 40
d 2.883, 31.02°, I = 24
d 2.858, 31.30°, I = 100
d 2.751, 32.55°, I = 66
d 2.719, 32.94°, I = 29
d 1.680, 54.62°, I = 18

Atomic structure:
```
data_Pm12PrHo6
_chemical_formula_sum 'Pm36 Pr3 Ho18'
_cell_length_a 12.1135
_cell_length_b 12.1135
_cell_length_c 15.2772
_cell_angle_alpha 90.00
_cell_angle_beta 90.00
_cell_angle_gamma 120.00
_symmetry_space_group_name_H-M 'R -3'
_symmetry_Int_Tables_number 148
_symmetry_space_group_name_Hall '-R 3'
loop_
_atom_site_label
_atom_site_type_symbol
_atom_site_fract_x
_atom_site_fract_y
_atom_site_fract_z
_atom_site_occupancy
Pm1 Pm 0.0065 0.8304 0.1921 1
Pm2 Pm 0.0459 0.8497 0.4167 1
Pr1 Pr 0.0000 0.0000 0.0000 1
Ho1 Ho 0.0129 0.4264 0.6851 1
```

Entry 2:
Structure and calculated PXRD pattern of Y2Al5Zn3 (a structure optimized by DFT (PBE); Cu Ka).

Principal peaks in the range 10 to 90 degrees two-theta, low angle first:
d 2.745, 32.62°, I = 77
d 2.585, 34.71°, I = 100
d 2.071, 43.71°, I = 53
d 1.942, 46.79°, I = 43
d 1.653, 55.59°, I = 32
d 1.417, 65.94°, I = 29

Atomic structure:
```
data_Y2Al5Zn3
_chemical_formula_sum 'Y8 Al20 Zn12'
_cell_length_a 10.991
_cell_length_b 11.717
_cell_length_c 5.857
_cell_angle_alpha 90.00
_cell_angle_beta 90.00
_cell_angle_gamma 90.00
_symmetry_space_group_name_H-M 'I b a m'
_symmetry_Int_Tables_number 72
_symmetry_space_group_name_Hall '-I 2 2c'
loop_
_atom_site_label
_atom_site_type_symbol
_atom_site_fract_x
_atom_site_fract_y
_atom_site_fract_z
_atom_site_occupancy
Y1 Y 0.250 0.127 0.000 1
Al1 Al 0.000 0.000 0.250 1
Al2 Al 0.000 0.247 0.250 1
Al3 Al 0.140 0.379 0.000 1
Zn1 Zn 0.000 0.500 0.250 1
Zn2 Zn 0.140 0.123 0.500 1
```

Entry 3:
Structure and calculated PXRD pattern of Ac3PmTl3 (a structure optimized by DFT (PBE); Cu Ka).

Principal peaks in the range 10 to 90 degrees two-theta, low angle first:
d 2.935, 30.45°, I = 28
d 2.820, 31.73°, I = 100
d 2.791, 32.07°, I = 21
d 2.023, 44.81°, I = 16
d 1.672, 54.92°, I = 18
d 1.617, 56.96°, I = 12

Atomic structure:
```
data_Ac3PmTl3
_chemical_formula_sum 'Ac12 Pm4 Tl12'
_cell_length_a 11.162
_cell_length_b 11.742
_cell_length_c 7.868
_cell_angle_alpha 90.00
_cell_angle_beta 90.00
_cell_angle_gamma 90.00
_symmetry_space_group_name_H-M 'C m m m'
_symmetry_Int_Tables_number 65
_symmetry_space_group_name_Hall '-C 2 2'
loop_
_atom_site_label
_atom_site_type_symbol
_atom_site_fract_x
_atom_site_fract_y
_atom_site_fract_z
_atom_site_occupancy
Ac1 Ac 0.000 0.230 0.000 1
Ac2 Ac 0.200 0.000 0.500 1
Ac3 Ac 0.238 0.500 0.000 1
Pm1 Pm 0.000 0.276 0.500 1
Tl1 Tl 0.000 0.500 0.266 1
Tl2 Tl 0.250 0.250 0.267 1
```

Entry 4:
Structure and calculated PXRD pattern of Tb8TmTh6 (a structure optimized by DFT (PBE); Cu Ka).

Principal peaks in the range 10 to 90 degrees two-theta, low angle first:
d 2.875, 31.11°, I = 100
d 2.852, 31.37°, I = 55
d 2.829, 31.63°, I = 48
d 2.799, 31.97°, I = 68
d 2.771, 32.31°, I = 61
d 2.398, 37.50°, I = 21

Atomic structure:
```
data_Tb8TmTh6
_chemical_formula_sum 'Tb24 Tm3 Th18'
_cell_length_a 8.8639
_cell_length_b 8.8639
_cell_length_c 21.3025
_cell_angle_alpha 90.00
_cell_angle_beta 90.00
_cell_angle_gamma 120.00
_symmetry_space_group_name_H-M 'R -3'
_symmetry_Int_Tables_number 148
_symmetry_space_group_name_Hall '-R 3'
loop_
_atom_site_label
_atom_site_type_symbol
_atom_site_fract_x
_atom_site_fract_y
_atom_site_fract_z
_atom_site_occupancy
Tb1 Tb 0.0000 0.0000 0.0810 1
Tb2 Tb 0.0633 0.2542 0.6333 1
Tm1 Tm 0.0000 0.0000 0.5000 1
Th1 Th 0.0279 0.7835 0.2093 1
```

Please write out number 2 again, unchanged.
Structure and calculated PXRD pattern of Y2Al5Zn3 (a structure optimized by DFT (PBE); Cu Ka).

Principal peaks in the range 10 to 90 degrees two-theta, low angle first:
d 2.745, 32.62°, I = 77
d 2.585, 34.71°, I = 100
d 2.071, 43.71°, I = 53
d 1.942, 46.79°, I = 43
d 1.653, 55.59°, I = 32
d 1.417, 65.94°, I = 29

Atomic structure:
```
data_Y2Al5Zn3
_chemical_formula_sum 'Y8 Al20 Zn12'
_cell_length_a 10.991
_cell_length_b 11.717
_cell_length_c 5.857
_cell_angle_alpha 90.00
_cell_angle_beta 90.00
_cell_angle_gamma 90.00
_symmetry_space_group_name_H-M 'I b a m'
_symmetry_Int_Tables_number 72
_symmetry_space_group_name_Hall '-I 2 2c'
loop_
_atom_site_label
_atom_site_type_symbol
_atom_site_fract_x
_atom_site_fract_y
_atom_site_fract_z
_atom_site_occupancy
Y1 Y 0.250 0.127 0.000 1
Al1 Al 0.000 0.000 0.250 1
Al2 Al 0.000 0.247 0.250 1
Al3 Al 0.140 0.379 0.000 1
Zn1 Zn 0.000 0.500 0.250 1
Zn2 Zn 0.140 0.123 0.500 1
```